For K2CoAgF6, a DFT-relaxed cell (PBE+U, Alexandria) gives the calculated XRD peak list in this record (Cu Kα X-rays).

```
data_K2CoAgF6
_cell_length_a 5.989
_cell_length_b 5.989
_cell_length_c 8.516
_cell_angle_alpha 90.00
_cell_angle_beta 90.00
_cell_angle_gamma 90.00
_space_group_name_H-M_alt 'I 4/m m m'
_space_group_IT_number 139
_space_group_name_Hall '-I 4 2'
loop_
_atom_site_label
_atom_site_type_symbol
_atom_site_fract_x
_atom_site_fract_y
_atom_site_fract_z
_atom_site_occupancy
K1 K 0.000 0.500 0.250 1
Co1 Co 0.000 0.000 0.000 1
Ag1 Ag 0.000 0.000 0.500 1
F1 F 0.000 0.000 0.221 1
F2 F 0.223 0.223 0.000 1
```

Largest 8 diffraction maxima, in order of rising 2θ, 15 to 90 degrees two-theta:
d_spacing  I (rel.)  (hkl)
4.258  15.1  0 0 2
4.235  29.7  1 1 0
3.000  100.0  1 1 2
2.129  16.1  0 0 4
2.117  31.8  2 2 0
1.735  11.4  2 0 4
1.730  22.9  3 1 2
1.501  17.3  2 2 4